Entry 1:
Diffraction record for PmBePO. The powder diffractogram is computed, not measured: it uses a cell relaxed with PBE and Cu Kα.
Kinematic intensities with the Lorentz-polarization factor, no thermal factor.

Atomic structure:
```
8
Lattice="4.1718 0.0000 0.0000 0.0000 5.9937 0.0000 0.0000 0.0000 5.5675" Properties=species:S:1:pos:R:3 pbc="T T T"
Pm 0.0000 1.4858 0.0000
Pm 0.0000 4.5078 2.7838
Be 2.0859 2.3019 3.4073
Be 2.0859 3.6917 0.6236
P 0.0000 1.3807 2.8331
P 0.0000 4.6129 0.0493
O 2.0859 2.4040 5.1185
O 2.0859 3.5897 2.3347
```

Peak list (10 most intense, 2θ = 15–90°, by angle)
| d [Å] | 2theta | I/Imax | h k l |
| --- | --- | --- | --- |
| 4.172 | 21.3 | 86.9 | 1 0 0 |
| 4.079 | 21.8 | 100.0 | 0 1 1 |
| 2.997 | 29.8 | 46.2 | 0 2 0 |
| 2.917 | 30.7 | 71.8 | 1 1 1 |
| 2.784 | 32.2 | 45.8 | 0 0 2 |
| 2.434 | 36.9 | 59.3 | 1 2 0 |
| 2.316 | 38.9 | 43.5 | 1 0 2 |
| 2.040 | 44.4 | 31.7 | 0 2 2 |
| 1.832 | 49.8 | 48.1 | 1 2 2 |
| 1.713 | 53.5 | 38.1 | 2 2 0 |



Entry 2:
Diffraction record for ZrBePO. The powder diffractogram is computed, not measured: it uses a cell relaxed with PBE and Cu Kα.
Kinematic intensities with the Lorentz-polarization factor, no thermal factor.

Atomic structure:
```
8
Lattice="3.9216 0.0000 0.0000 0.0000 5.7861 0.0000 0.0000 0.0000 5.1322" Properties=species:S:1:pos:R:3 pbc="T T T"
Zr 0.0000 1.1587 0.0000
Zr 0.0000 4.6274 2.5661
Be 1.9608 2.3112 3.3362
Be 1.9608 3.4749 0.7701
P 0.0000 1.4187 2.5657
P 0.0000 4.3674 5.1317
O 1.9608 2.0985 4.9846
O 1.9608 3.6876 2.4185
```

Peak list (10 most intense, 2θ = 15–90°, by angle)
| d [Å] | 2theta | I/Imax | h k l |
| --- | --- | --- | --- |
| 3.922 | 22.7 | 100.0 | 1 0 0 |
| 3.839 | 23.2 | 86.1 | 0 1 1 |
| 2.893 | 30.9 | 51.3 | 0 2 0 |
| 2.743 | 32.6 | 34.7 | 1 1 1 |
| 2.566 | 35.0 | 60.0 | 0 0 2 |
| 2.328 | 38.7 | 52.7 | 1 2 0 |
| 2.147 | 42.1 | 45.4 | 1 0 2 |
| 2.120 | 42.6 | 30.5 | 1 2 1 |
| 1.920 | 47.4 | 30.7 | 0 2 2 |
| 1.724 | 53.1 | 39.0 | 1 2 2 |



Entry 3:
Diffraction record for Pa2Be2O5. The powder diffractogram is computed, not measured: it uses a cell relaxed with PBE and Cu Kα.
Kinematic intensities with the Lorentz-polarization factor, no thermal factor.

Atomic structure:
```
9
Lattice="3.7860 0.0000 0.0000 0.0000 3.7860 0.0000 0.0000 0.0000 7.2436" Properties=species:S:1:pos:R:3 pbc="T T T"
Pa 0.0000 0.0000 0.0000
Pa 0.0000 0.0000 3.6218
Be 1.8930 1.8930 1.7059
Be 1.8930 1.8930 5.5376
O 0.0000 1.8930 1.8223
O 0.0000 1.8930 5.4213
O 1.8930 0.0000 1.8223
O 1.8930 0.0000 5.4213
O 1.8930 1.8930 0.0000
```

Peak list (10 most intense, 2θ = 15–90°, by angle)
| d [Å] | 2theta | I/Imax | h k l |
| --- | --- | --- | --- |
| 3.786 | 23.5 | 100.0 | 1 0 0 |
| 3.622 | 24.6 | 37.5 | 0 0 2 |
| 2.677 | 33.5 | 40.2 | 1 1 0 |
| 2.617 | 34.3 | 88.6 | 1 0 2 |
| 2.153 | 42.0 | 69.1 | 1 1 2 |
| 1.893 | 48.1 | 25.2 | 2 0 0 |
| 1.693 | 54.2 | 22.6 | 2 1 0 |
| 1.678 | 54.7 | 19.3 | 2 0 2 |
| 1.634 | 56.3 | 20.3 | 1 0 4 |
| 1.534 | 60.3 | 36.6 | 2 1 2 |



What did the third record say?
Diffraction record for Pa2Be2O5. The powder diffractogram is computed, not measured: it uses a cell relaxed with PBE and Cu Kα.
Kinematic intensities with the Lorentz-polarization factor, no thermal factor.

Atomic structure:
```
9
Lattice="3.7860 0.0000 0.0000 0.0000 3.7860 0.0000 0.0000 0.0000 7.2436" Properties=species:S:1:pos:R:3 pbc="T T T"
Pa 0.0000 0.0000 0.0000
Pa 0.0000 0.0000 3.6218
Be 1.8930 1.8930 1.7059
Be 1.8930 1.8930 5.5376
O 0.0000 1.8930 1.8223
O 0.0000 1.8930 5.4213
O 1.8930 0.0000 1.8223
O 1.8930 0.0000 5.4213
O 1.8930 1.8930 0.0000
```

Peak list (10 most intense, 2θ = 15–90°, by angle)
| d [Å] | 2theta | I/Imax | h k l |
| --- | --- | --- | --- |
| 3.786 | 23.5 | 100.0 | 1 0 0 |
| 3.622 | 24.6 | 37.5 | 0 0 2 |
| 2.677 | 33.5 | 40.2 | 1 1 0 |
| 2.617 | 34.3 | 88.6 | 1 0 2 |
| 2.153 | 42.0 | 69.1 | 1 1 2 |
| 1.893 | 48.1 | 25.2 | 2 0 0 |
| 1.693 | 54.2 | 22.6 | 2 1 0 |
| 1.678 | 54.7 | 19.3 | 2 0 2 |
| 1.634 | 56.3 | 20.3 | 1 0 4 |
| 1.534 | 60.3 | 36.6 | 2 1 2 |